The following is a theoretical powder diffraction line list of K2LiTlCl4. It was derived from DFT lattice parameters and positions (GGA-PBE), using Cu Ka.

Largest 10 diffraction maxima, by angle, 2θ from 10° to 80°:
2θ (°)	Rel. int.
12.23	83
14.44	42
19.81	24
20.34	22
23.80	41
28.54	100
29.11	38
31.59	22
32.13	26
41.22	57

Structure:
Unit cell a=8.7629 b=8.7629 c=8.7629 alpha=120.24 beta=118.48 gamma=91.12
Element x y z (fractional)
K: 0.0000 0.0000 0.0000
K: 0.5000 0.0000 0.0000
K: 0.5000 0.0000 0.5000
K: 0.5000 0.5000 0.5000
Li: 0.0000 0.5000 0.5000
Li: 0.5000 0.5000 0.0000
Tl: 0.0000 0.0000 0.5000
Tl: 0.0000 0.5000 0.0000
Cl: 0.2103 0.7042 0.5061
Cl: 0.2528 0.2552 0.5025
Cl: 0.2528 0.7503 0.9975
Cl: 0.3019 0.2958 0.0061
Cl: 0.6981 0.7042 0.9939
Cl: 0.7472 0.2497 0.0025
Cl: 0.7472 0.7448 0.4975
Cl: 0.7897 0.2958 0.4939

***

The following is a theoretical powder diffraction line list of In2PdRh2S6. It was derived from DFT lattice parameters and positions (GGA-PBE), using Cu Ka.

Largest 10 diffraction maxima, by angle, 2θ from 10° to 80°:
2θ (°)	Rel. int.
14.22	19
28.67	22
29.65	34
29.96	16
34.07	100
34.39	48
48.35	30
49.37	17
50.02	34
61.55	16

Structure:
Unit cell a=6.3686 b=6.3686 c=6.5690 alpha=99.03 beta=99.03 gamma=120.80
Element x y z (fractional)
In: 0.1663 0.8337 0.0000
In: 0.8337 0.1663 0.0000
Pd: 0.0000 0.0000 0.5000
Rh: 0.3333 0.6667 0.5000
Rh: 0.6667 0.3333 0.5000
S: 0.0573 0.4147 0.7034
S: 0.2657 0.2657 0.3079
S: 0.4147 0.0573 0.7034
S: 0.5853 0.9427 0.2966
S: 0.7343 0.7343 0.6921
S: 0.9427 0.5853 0.2966

***

The following is a theoretical powder diffraction line list of AcPmY3. It was derived from DFT lattice parameters and positions (GGA-PBE), using Cu Ka.

Largest 10 diffraction maxima, by angle, 2θ from 10° to 80°:
2θ (°)	Rel. int.
20.61	26
27.45	17
30.20	100
30.53	99
32.04	42
36.14	36
37.24	22
49.06	26
52.87	16
56.37	18

Structure:
Unit cell a=4.9708 b=8.6848 c=9.5496 alpha=68.70 beta=74.94 gamma=90.00
Element x y z (fractional)
Ac: 0.1151 0.1503 0.2705
Ac: 0.8849 0.8497 0.7295
Pm: 0.3116 0.1090 0.8769
Pm: 0.6884 0.8910 0.1231
Y: 0.0557 0.6980 0.3884
Y: 0.2271 0.6265 0.0459
Y: 0.4148 0.5534 0.6703
Y: 0.5852 0.4466 0.3297
Y: 0.7729 0.3735 0.9541
Y: 0.9443 0.3020 0.6116

***

The following is a theoretical powder diffraction line list of LaNdDy2Tl2. It was derived from DFT lattice parameters and positions (GGA-PBE), using Cu Ka.

Largest 10 diffraction maxima, by angle, 2θ from 10° to 80°:
2θ (°)	Rel. int.
29.06	10
31.24	100
32.44	43
33.92	20
34.63	32
37.00	14
47.35	8
51.57	11
59.95	14
65.84	8

Structure:
Unit cell a=5.1810 b=10.3047 c=6.8749 alpha=90.00 beta=90.00 gamma=90.00
Element x y z (fractional)
La: 0.0000 0.0449 0.0000
La: 0.0000 0.9551 0.5000
Nd: 0.5000 0.1916 0.7405
Nd: 0.5000 0.8084 0.2405
Dy: 0.0000 0.3173 0.3861
Dy: 0.0000 0.6827 0.8861
Dy: 0.5000 0.4585 0.1066
Dy: 0.5000 0.5415 0.6066
Tl: 0.0000 0.3766 0.8507
Tl: 0.0000 0.6234 0.3507
Tl: 0.5000 0.1462 0.2692
Tl: 0.5000 0.8538 0.7692

***

The following is a theoretical powder diffraction line list of CePt4. It was derived from DFT lattice parameters and positions (GGA-PBE), using Cu Ka.

Largest 10 diffraction maxima, by angle, 2θ from 10° to 80°:
2θ (°)	Rel. int.
19.30	23
33.75	84
36.55	45
39.17	17
41.65	100
46.29	24
56.59	24
62.20	20
67.54	18
76.02	16

Structure:
Unit cell a=7.9674 b=7.9674 c=7.9674 alpha=109.47 beta=109.47 gamma=109.47
Element x y z (fractional)
Ce: 0.0000 0.0000 0.5532
Ce: 0.0000 0.5532 0.0000
Ce: 0.4468 0.4468 0.4468
Ce: 0.5532 0.0000 0.0000
Pt: 0.0000 0.0000 0.2186
Pt: 0.0000 0.2186 0.0000
Pt: 0.0000 0.3489 0.3489
Pt: 0.0000 0.6511 0.6511
Pt: 0.2186 0.0000 0.0000
Pt: 0.2500 0.5000 0.7500
Pt: 0.2500 0.7500 0.5000
Pt: 0.3489 0.0000 0.3489
Pt: 0.3489 0.3489 0.0000
Pt: 0.5000 0.2500 0.7500
Pt: 0.5000 0.7500 0.2500
Pt: 0.6511 0.0000 0.6511
Pt: 0.6511 0.6511 0.0000
Pt: 0.7500 0.2500 0.5000
Pt: 0.7500 0.5000 0.2500
Pt: 0.7814 0.7814 0.7814

***

The following is a theoretical powder diffraction line list of Pr8Te4P3N. It was derived from DFT lattice parameters and positions (GGA-PBE), using Cu Ka.

Largest 10 diffraction maxima, by angle, 2θ from 10° to 80°:
2θ (°)	Rel. int.
24.73	13
25.72	13
29.34	100
31.82	23
36.64	10
41.01	30
42.93	37
52.85	18
57.69	16
70.37	15

Structure:
Unit cell a=8.8209 b=8.8209 c=8.8209 alpha=57.06 beta=57.06 gamma=57.06
Element x y z (fractional)
Pr: 0.2379 0.2379 0.2379
Pr: 0.2533 0.7251 0.7251
Pr: 0.2749 0.2749 0.7467
Pr: 0.2749 0.7467 0.2749
Pr: 0.7251 0.2533 0.7251
Pr: 0.7251 0.7251 0.2533
Pr: 0.7467 0.2749 0.2749
Pr: 0.7621 0.7621 0.7621
Te: 0.0000 0.0000 0.0000
Te: 0.0000 0.5000 0.5000
Te: 0.5000 0.0000 0.5000
Te: 0.5000 0.5000 0.0000
P: 0.0000 0.0000 0.5000
P: 0.0000 0.5000 0.0000
P: 0.5000 0.0000 0.0000
N: 0.5000 0.5000 0.5000

***

What did the fifth record say?
The following is a theoretical powder diffraction line list of CePt4. It was derived from DFT lattice parameters and positions (GGA-PBE), using Cu Ka.

Largest 10 diffraction maxima, by angle, 2θ from 10° to 80°:
2θ (°)	Rel. int.
19.30	23
33.75	84
36.55	45
39.17	17
41.65	100
46.29	24
56.59	24
62.20	20
67.54	18
76.02	16

Structure:
Unit cell a=7.9674 b=7.9674 c=7.9674 alpha=109.47 beta=109.47 gamma=109.47
Element x y z (fractional)
Ce: 0.0000 0.0000 0.5532
Ce: 0.0000 0.5532 0.0000
Ce: 0.4468 0.4468 0.4468
Ce: 0.5532 0.0000 0.0000
Pt: 0.0000 0.0000 0.2186
Pt: 0.0000 0.2186 0.0000
Pt: 0.0000 0.3489 0.3489
Pt: 0.0000 0.6511 0.6511
Pt: 0.2186 0.0000 0.0000
Pt: 0.2500 0.5000 0.7500
Pt: 0.2500 0.7500 0.5000
Pt: 0.3489 0.0000 0.3489
Pt: 0.3489 0.3489 0.0000
Pt: 0.5000 0.2500 0.7500
Pt: 0.5000 0.7500 0.2500
Pt: 0.6511 0.0000 0.6511
Pt: 0.6511 0.6511 0.0000
Pt: 0.7500 0.2500 0.5000
Pt: 0.7500 0.5000 0.2500
Pt: 0.7814 0.7814 0.7814

***

What did the fourth record say?
The following is a theoretical powder diffraction line list of LaNdDy2Tl2. It was derived from DFT lattice parameters and positions (GGA-PBE), using Cu Ka.

Largest 10 diffraction maxima, by angle, 2θ from 10° to 80°:
2θ (°)	Rel. int.
29.06	10
31.24	100
32.44	43
33.92	20
34.63	32
37.00	14
47.35	8
51.57	11
59.95	14
65.84	8

Structure:
Unit cell a=5.1810 b=10.3047 c=6.8749 alpha=90.00 beta=90.00 gamma=90.00
Element x y z (fractional)
La: 0.0000 0.0449 0.0000
La: 0.0000 0.9551 0.5000
Nd: 0.5000 0.1916 0.7405
Nd: 0.5000 0.8084 0.2405
Dy: 0.0000 0.3173 0.3861
Dy: 0.0000 0.6827 0.8861
Dy: 0.5000 0.4585 0.1066
Dy: 0.5000 0.5415 0.6066
Tl: 0.0000 0.3766 0.8507
Tl: 0.0000 0.6234 0.3507
Tl: 0.5000 0.1462 0.2692
Tl: 0.5000 0.8538 0.7692